1.
The following is a theoretical powder diffraction line list of Pm5Pd2Au2. It was derived from a cell relaxed with GGA-PBE, using Cu Kα X-rays.
Neutral-atom scattering factors, no anomalous dispersion.

Most intense lines, 10 to 90 degrees two-theta, by angle:
d (Å)	I_rel
3.418	17
2.924	44
2.802	32
2.739	100
2.587	47
2.464	32
2.377	28
2.092	15
1.960	15
1.916	14
1.581	13
1.421	22

a b c (Å): 8.781 8.781 7.926
angles (deg): 90.00 90.00 51.07
Positions (direct):
Pm  0.000  0.000  0.000
Pm  0.035  0.695  0.673
Pm  0.195  0.535  0.173
Pm  0.305  0.965  0.673
Pm  0.465  0.805  0.173
Pm  0.500  0.500  0.500
Pm  0.535  0.195  0.827
Pm  0.695  0.035  0.327
Pm  0.805  0.465  0.827
Pm  0.965  0.305  0.327
Pd  0.127  0.873  0.371
Pd  0.373  0.627  0.871
Pd  0.627  0.373  0.129
Pd  0.873  0.127  0.629
Au  0.208  0.208  0.000
Au  0.292  0.292  0.500
Au  0.708  0.708  0.500
Au  0.792  0.792  0.000

2.
The following is a theoretical powder diffraction line list of Al2CdIr. It was derived from a cell relaxed with GGA-PBE, using Cu Kα X-rays.
Neutral-atom scattering factors, no anomalous dispersion.

Most intense lines, 10 to 90 degrees two-theta, by angle:
d (Å)	I_rel
8.015	32
4.007	55
2.912	46
2.356	100
2.059	35
2.004	13
1.832	26
1.651	22
1.456	12
1.436	18
1.239	25
1.092	12

a b c (Å): 2.912 2.912 8.015
angles (deg): 90.00 90.00 90.00
Positions (direct):
Al  0.000  0.000  0.201
Al  0.000  0.000  0.799
Cd  0.500  0.500  0.500
Ir  0.500  0.500  0.000

3.
The following is a theoretical powder diffraction line list of NaYSn3. It was derived from a cell relaxed with GGA-PBE, using Cu Kα X-rays.
Neutral-atom scattering factors, no anomalous dispersion.

Most intense lines, 10 to 90 degrees two-theta, by angle:
d (Å)	I_rel
4.632	29
2.867	80
2.843	98
2.769	92
2.603	80
2.583	100
2.216	30
2.188	64
1.866	42
1.730	26
1.369	39
1.345	27

a b c (Å): 13.845 6.235 6.301
angles (deg): 90.00 90.00 90.00
Positions (direct):
Na  0.098  0.250  0.000
Na  0.098  0.250  0.500
Na  0.902  0.750  0.000
Na  0.902  0.750  0.500
Y  0.321  0.004  0.250
Y  0.321  0.496  0.750
Y  0.679  0.504  0.250
Y  0.679  0.996  0.750
Sn  0.114  0.720  0.750
Sn  0.114  0.780  0.250
Sn  0.288  0.005  0.750
Sn  0.288  0.495  0.250
Sn  0.495  0.750  0.000
Sn  0.495  0.750  0.500
Sn  0.505  0.250  0.000
Sn  0.505  0.250  0.500
Sn  0.712  0.505  0.750
Sn  0.712  0.995  0.250
Sn  0.886  0.220  0.750
Sn  0.886  0.280  0.250

4.
The following is a theoretical powder diffraction line list of TmZrMn2. It was derived from a cell relaxed with GGA-PBE, using Cu Kα X-rays.
Neutral-atom scattering factors, no anomalous dispersion.

Most intense lines, 10 to 90 degrees two-theta, by angle:
d (Å)	I_rel
3.895	9
3.373	20
2.385	100
2.034	5
1.948	6
1.687	17
1.548	2
1.509	8
1.377	33
1.193	10
1.140	2
1.124	4

a b c (Å): 6.747 6.747 6.747
angles (deg): 90.00 90.00 90.00
Positions (direct):
Tm  0.000  0.000  0.000
Tm  0.000  0.500  0.500
Tm  0.500  0.000  0.500
Tm  0.500  0.500  0.000
Zr  0.000  0.000  0.500
Zr  0.000  0.500  0.000
Zr  0.500  0.000  0.000
Zr  0.500  0.500  0.500
Mn  0.250  0.250  0.250
Mn  0.250  0.250  0.750
Mn  0.250  0.750  0.250
Mn  0.250  0.750  0.750
Mn  0.750  0.250  0.250
Mn  0.750  0.250  0.750
Mn  0.750  0.750  0.250
Mn  0.750  0.750  0.750

5.
The following is a theoretical powder diffraction line list of Tb2MgNi12P3. It was derived from a cell relaxed with GGA-PBE, using Cu Kα X-rays.
Neutral-atom scattering factors, no anomalous dispersion.

Most intense lines, 10 to 90 degrees two-theta, by angle:
d (Å)	I_rel
6.224	22
3.918	18
2.876	32
2.699	12
2.293	27
2.118	100
2.075	13
1.979	32
1.863	15
1.438	16
1.223	15
1.194	11

a b c (Å): 6.267 6.267 6.267
angles (deg): 85.05 85.05 85.05
Positions (direct):
Tb  0.153  0.153  0.153
Tb  0.847  0.847  0.847
Mg  0.500  0.500  0.500
Ni  0.123  0.123  0.602
Ni  0.123  0.602  0.123
Ni  0.186  0.680  0.680
Ni  0.320  0.320  0.814
Ni  0.320  0.814  0.320
Ni  0.398  0.877  0.877
Ni  0.602  0.123  0.123
Ni  0.680  0.186  0.680
Ni  0.680  0.680  0.186
Ni  0.814  0.320  0.320
Ni  0.877  0.398  0.877
Ni  0.877  0.877  0.398
P  0.000  0.500  0.500
P  0.500  0.000  0.500
P  0.500  0.500  0.000

6.
The following is a theoretical powder diffraction line list of Ru2W2Au. It was derived from a cell relaxed with GGA-PBE, using Cu Kα X-rays.
Neutral-atom scattering factors, no anomalous dispersion.

Most intense lines, 10 to 90 degrees two-theta, by angle:
d (Å)	I_rel
3.367	13
2.662	17
2.514	18
2.381	89
2.273	34
2.176	100
1.684	19
1.538	13
1.507	15
1.311	12
1.255	31
1.223	22

a b c (Å): 7.528 7.528 2.852
angles (deg): 90.00 90.00 90.00
Positions (direct):
Ru  0.134  0.366  0.000
Ru  0.366  0.866  0.000
Ru  0.634  0.134  0.000
Ru  0.866  0.634  0.000
W  0.160  0.660  0.500
W  0.340  0.160  0.500
W  0.660  0.840  0.500
W  0.840  0.340  0.500
Au  0.000  0.000  0.000
Au  0.500  0.500  0.000